1.
Starting from a DFT-relaxed cell (PBE, Alexandria), the X-ray powder pattern of CaZrAl9BO18 was simulated for CuKα.
No peak broadening, texture or thermal motion is included.

a b c (Å): 8.807 8.807 8.562
angles (deg): 90.00 90.00 120.00
Element x y z (fractional)
Ca: 0.000 0.000 0.000
Ca: 0.000 0.000 0.500
Zr: 0.333 0.667 0.250
Zr: 0.667 0.333 0.750
Al: 0.004 0.667 0.250
Al: 0.018 0.657 0.578
Al: 0.018 0.657 0.922
Al: 0.333 0.337 0.250
Al: 0.337 0.004 0.750
Al: 0.343 0.361 0.578
Al: 0.343 0.361 0.922
Al: 0.361 0.018 0.078
Al: 0.361 0.018 0.422
Al: 0.639 0.982 0.578
Al: 0.639 0.982 0.922
Al: 0.657 0.639 0.078
Al: 0.657 0.639 0.422
Al: 0.663 0.996 0.250
Al: 0.667 0.663 0.750
Al: 0.982 0.343 0.078
Al: 0.982 0.343 0.422
Al: 0.996 0.333 0.750
B: 0.333 0.667 0.750
B: 0.667 0.333 0.250
O: 0.107 0.299 0.583
O: 0.107 0.299 0.917
O: 0.110 0.330 0.250
O: 0.117 0.595 0.093
O: 0.117 0.595 0.407
O: 0.154 0.601 0.750
O: 0.192 0.893 0.583
O: 0.192 0.893 0.917
O: 0.220 0.890 0.250
O: 0.299 0.192 0.083
O: 0.299 0.192 0.417
O: 0.330 0.220 0.750
O: 0.399 0.553 0.750
O: 0.405 0.522 0.093
O: 0.405 0.522 0.407
O: 0.447 0.846 0.750
O: 0.478 0.883 0.093
O: 0.478 0.883 0.407
O: 0.522 0.117 0.593
O: 0.522 0.117 0.907
O: 0.553 0.154 0.250
O: 0.595 0.478 0.593
O: 0.595 0.478 0.907
O: 0.601 0.447 0.250
O: 0.670 0.780 0.250
O: 0.701 0.808 0.583
O: 0.701 0.808 0.917
O: 0.780 0.110 0.750
O: 0.808 0.107 0.083
O: 0.808 0.107 0.417
O: 0.846 0.399 0.250
O: 0.883 0.405 0.593
O: 0.883 0.405 0.907
O: 0.890 0.670 0.750
O: 0.893 0.701 0.083
O: 0.893 0.701 0.417

Main lines, most intense first (10 to 90 degrees two-theta):
2θ 35.30, 2.542 Å, I 100
2θ 15.56, 5.695 Å, I 79
2θ 44.68, 2.028 Å, I 72
2θ 23.83, 3.733 Å, I 67
2θ 37.58, 2.393 Å, I 61
2θ 64.85, 1.438 Å, I 50
2θ 52.50, 1.743 Å, I 49
2θ 31.41, 2.848 Å, I 39



2.
Starting from a DFT-relaxed cell (PBE, Alexandria), the X-ray powder pattern of AcPrSeS2 was simulated for CuKα.
No peak broadening, texture or thermal motion is included.

a b c (Å): 4.906 4.906 7.065
angles (deg): 90.00 90.00 90.00
Element x y z (fractional)
Ac: 0.000 0.000 0.000
Pr: 0.500 0.500 0.408
Se: 0.500 0.500 0.815
S: 0.000 0.500 0.233
S: 0.500 0.000 0.233

Main lines, most intense first (10 to 90 degrees two-theta):
2θ 22.06, 4.030 Å, I 100
2θ 25.68, 3.469 Å, I 51
2θ 36.64, 2.453 Å, I 38
2θ 36.30, 2.475 Å, I 37
2θ 31.20, 2.867 Å, I 37
2θ 43.18, 2.095 Å, I 35
2θ 12.53, 7.065 Å, I 24
2θ 48.87, 1.864 Å, I 21



3.
Starting from a DFT-relaxed cell (PBE, Alexandria), the X-ray powder pattern of ZrBrN was simulated for CuKα.
No peak broadening, texture or thermal motion is included.

a b c (Å): 10.851 10.851 10.851
angles (deg): 19.54 19.54 19.54
Element x y z (fractional)
Zr: 0.126 0.126 0.126
Zr: 0.874 0.874 0.874
Br: 0.397 0.397 0.397
Br: 0.603 0.603 0.603
N: 0.194 0.194 0.194
N: 0.806 0.806 0.806

Main lines, most intense first (10 to 90 degrees two-theta):
2θ 30.18, 2.962 Å, I 100
2θ 36.05, 2.491 Å, I 33
2θ 49.50, 1.841 Å, I 33
2θ 42.10, 2.146 Å, I 20
2θ 67.24, 1.392 Å, I 18
2θ 34.31, 2.614 Å, I 14
2θ 59.08, 1.564 Å, I 14
2θ 39.96, 2.256 Å, I 14



4.
Starting from a DFT-relaxed cell (PBE, Alexandria), the X-ray powder pattern of Ca5Cd24 was simulated for CuKα.
No peak broadening, texture or thermal motion is included.

a b c (Å): 9.675 9.675 9.675
angles (deg): 109.47 109.47 109.47
Element x y z (fractional)
Ca: 0.000 0.000 0.000
Ca: 0.000 0.000 0.379
Ca: 0.000 0.379 0.000
Ca: 0.379 0.000 0.000
Ca: 0.621 0.621 0.621
Cd: 0.000 0.326 0.616
Cd: 0.000 0.616 0.326
Cd: 0.000 0.630 0.809
Cd: 0.000 0.809 0.630
Cd: 0.179 0.370 0.370
Cd: 0.191 0.191 0.821
Cd: 0.191 0.821 0.191
Cd: 0.290 0.674 0.674
Cd: 0.326 0.000 0.616
Cd: 0.326 0.616 0.000
Cd: 0.370 0.179 0.370
Cd: 0.370 0.370 0.179
Cd: 0.384 0.384 0.710
Cd: 0.384 0.710 0.384
Cd: 0.616 0.000 0.326
Cd: 0.616 0.326 0.000
Cd: 0.630 0.000 0.809
Cd: 0.630 0.809 0.000
Cd: 0.674 0.290 0.674
Cd: 0.674 0.674 0.290
Cd: 0.710 0.384 0.384
Cd: 0.809 0.000 0.630
Cd: 0.809 0.630 0.000
Cd: 0.821 0.191 0.191

Main lines, most intense first (10 to 90 degrees two-theta):
2θ 34.05, 2.633 Å, I 100
2θ 37.77, 2.382 Å, I 33
2θ 41.20, 2.191 Å, I 32
2θ 60.94, 1.520 Å, I 30
2θ 71.68, 1.317 Å, I 12
2θ 19.46, 4.561 Å, I 11
2θ 39.52, 2.280 Å, I 9
2θ 62.18, 1.493 Å, I 9